This entry pairs a crystal structure of NaEr2WO6 with its simulated X-ray diffraction stick pattern. Radiation: Cu Ka. Structure: a cell relaxed with GGA+U.
Kinematic intensities with the Lorentz-polarization factor, no thermal factor.

Cell: 5.6072 5.6482 5.9674 Å, 61.91 62.83 60.31°
Element x y z (fractional)
Na (0.0000, 0.0000, 0.0000)
Er (0.2190, 0.2097, 0.3443)
Er (0.7251, 0.7303, 0.8206)
W (0.5185, 0.5241, 0.4314)
O (0.1475, 0.7802, 0.6294)
O (0.3449, 0.5879, 0.1721)
O (0.4279, 0.1529, 0.6305)
O (0.5869, 0.8993, 0.1585)
O (0.7659, 0.4416, 0.6246)
O (0.8915, 0.3457, 0.1654)

Principal peaks in the range 2θ = 5–70°, low angle first:
| 2θ (°) | intensity |
| --- | --- |
| 17.6 | 30 |
| 19.1 | 36 |
| 29.7 | 47 |
| 30.0 | 89 |
| 31.7 | 100 |
| 31.9 | 48 |